Simulated powder X-ray diffraction pattern of Ca7NiIr2O12 for copper Kα, from a crystal structure in the Materials Project, relaxed with GGA+U.

Top 6 peaks for 5 to 70 degrees two-theta, low angle first:
- 19.00 deg, I 100
- 19.32 deg, I 63
- 33.22 deg, I 72
- 39.22 deg, I 31
- 43.46 deg, I 22
- 43.93 deg, I 50

Structure:
```
Ca7NiIr2O12
1.0
4.672 2.697 3.720
-4.672 2.697 3.720
0.000 -5.395 3.720
Ca Ni Ir O
7 1 2 12
Cartesian
0.000 0.000 0.000
-2.972 -0.247 3.720
-1.662 -2.880 5.580
1.700 -2.450 3.720
-1.662 2.880 5.580
1.272 2.697 3.720
3.325 0.000 5.580
0.000 0.000 5.580
0.000 0.000 2.811
0.000 0.000 8.349
-3.631 -1.402 5.814
-3.631 1.402 5.345
-0.576 -1.487 4.066
0.601 -3.846 5.345
-0.999 1.242 4.066
-0.999 -1.242 7.094
1.576 0.244 4.066
-0.576 1.487 7.094
3.030 -2.444 5.814
1.576 -0.244 7.094
0.601 3.846 5.814
3.030 2.444 5.345
```